Diffraction record for LaEr2WO8. The powder diffractogram is simulated, not measured: it uses a crystal structure in Alexandria, relaxed with GGA+U and Cu Kα X-rays.
Neutral-atom scattering factors, no anomalous dispersion.

Top 12 peaks for 5° ≤ 2θ ≤ 70°, most intense first:
two_theta	d (Å)	Rel. int.
31.06	2.879	100
24.99	3.563	54
25.28	3.523	52
47.98	1.896	38
48.32	1.884	37
35.85	2.505	30
61.46	1.509	21
58.49	1.578	20
51.95	1.760	17
64.76	1.440	12
58.01	1.590	9
58.66	1.574	9

Atomic structure:
a = 7.0451 Å, b = 7.1267 Å, c = 7.0364 Å
α = 90.00°, β = 90.00°, γ = 90.00°
Space group Cmmm (No. 65)
Asymmetric unit:
La 0.0000 0.0000 0.0000 [2 per cell]
Er 0.0000 0.5000 0.2619 [4 per cell]
W 0.0000 0.0000 0.5000 [2 per cell]
O 0.0000 0.1865 0.2967 [8 per cell]
O 0.1780 0.5000 0.0000 [4 per cell]
O 0.2202 0.5000 0.5000 [4 per cell]